RbBa8Pt4: theoretical X-ray powder pattern (Cu Kα, 1.54184 Å), based on DFT lattice parameters and positions (PBE).
Lines closer than 0.1° are merged.

Principal peaks in the range 2θ from 15° to 90°, in order of rising 2θ:
- 17.2 deg, rel. 47, (1 3 0)
- 25.0 deg, rel. 100, (3 0 1)
- 27.8 deg, rel. 27, (1 5 0)
- 29.5 deg, rel. 62, (1 4 1)
- 32.9 deg, rel. 47, (6 0 0)
- 35.2 deg, rel. 59, (2 5 1)
- 38.2 deg, rel. 29, (0 0 2)
- 40.2 deg, rel. 86, (5 4 1)
- 67.1 deg, rel. 31, (5 10 1)
- 70.4 deg, rel. 35, (11 4 1)

```
data_RbBa8Pt4
_chemical_formula_sum 'Rb2 Ba16 Pt8'
_cell_length_a 16.3432
_cell_length_b 16.3432
_cell_length_c 4.7092
_cell_angle_alpha 90.00
_cell_angle_beta 90.00
_cell_angle_gamma 90.00
_symmetry_space_group_name_H-M 'I 4/m'
_symmetry_Int_Tables_number 87
_symmetry_space_group_name_Hall '-I 4'
loop_
_atom_site_label
_atom_site_type_symbol
_atom_site_fract_x
_atom_site_fract_y
_atom_site_fract_z
Rb1 Rb 0.0000 0.0000 0.0000
Ba1 Ba 0.0403 0.6634 0.0000
Ba2 Ba 0.1536 0.1994 0.5000
Pt1 Pt 0.1549 0.3290 0.0000
```